Simulated powder diffractogram
Compound: VTe4Ir
Radiation: Cu Ka
Structure: DFT lattice parameters and positions (GGA-PBE)

Top 10 peaks for 2θ from 15° to 90°, low angle first:
- 2θ 29.38, intensity 33
- 2θ 29.50, intensity 11
- 2θ 32.33, intensity 100
- 2θ 34.98, intensity 37
- 2θ 41.12, intensity 25
- 2θ 44.57, intensity 12
- 2θ 46.42, intensity 32
- 2θ 48.13, intensity 19
- 2θ 50.27, intensity 22
- 2θ 60.87, intensity 15

Structural model:
Lattice parameters (Å, degrees): 7.1682 7.1682 6.2221 102.22 102.22 30.58
Fractional coordinates of all 6 atoms:
V 0.0000 0.0000 0.0000
Te 0.1427 0.1427 0.3382
Te 0.3643 0.3643 0.0247
Te 0.6064 0.6064 0.8209
Te 0.9090 0.9090 0.5501
Ir 0.5093 0.5093 0.3877